Calculated powder XRD pattern of CsAc2GeO5 for Cu Ka, from DFT lattice parameters and positions (PBE).

Cell and atoms:
```
data_CsAc2GeO5
_space_group_name_H-M_alt 'P 1'
_space_group_IT_number 1
_cell_length_a 7.308
_cell_length_b 7.308
_cell_length_c 6.087
_cell_angle_alpha 90.00
_cell_angle_beta 90.00
_cell_angle_gamma 90.00
loop_
_space_group_symop_operation_xyz
'x,y,z'
loop_
_atom_site_label
_atom_site_type_symbol
_atom_site_fract_x
_atom_site_fract_y
_atom_site_fract_z
Cs1 Cs 0.000 0.000 0.000
Cs2 Cs 0.500 0.500 0.000
Ac1 Ac 0.182 0.318 0.500
Ac2 Ac 0.318 0.818 0.500
Ac3 Ac 0.682 0.182 0.500
Ac4 Ac 0.818 0.682 0.500
Ge1 Ge 0.000 0.500 0.000
Ge2 Ge 0.500 0.000 0.000
O1 O 0.000 0.000 0.500
O2 O 0.127 0.627 0.244
O3 O 0.127 0.627 0.756
O4 O 0.373 0.127 0.244
O5 O 0.373 0.127 0.756
O6 O 0.500 0.500 0.500
O7 O 0.627 0.873 0.244
O8 O 0.627 0.873 0.756
O9 O 0.873 0.373 0.244
O10 O 0.873 0.373 0.756
```

Principal peaks in the range 2θ = 10–90°, most intense first:
| (hkl) | d/Å | I/Imax |
| --- | --- | --- |
| 2 0 1 | 3.133 | 100 |
| 2 1 1 | 2.879 | 65 |
| 2 1 2 | 2.227 | 42 |
| 0 0 2 | 3.043 | 36 |
| 2 0 3 | 1.773 | 34 |
| 0 0 1 | 6.087 | 31 |
| 2 1 0 | 3.268 | 31 |
| 4 1 1 | 1.702 | 24 |